This entry pairs a crystal structure of Tc5Mo with its simulated X-ray diffraction stick pattern. Radiation: Cu Kα. Structure: a PBE-relaxed structure.

Largest 10 diffraction maxima, sorted by position, 2θ = 15–90°:
| index | two_theta | d (Å) | I (rel.) |
| --- | --- | --- | --- |
| 1 0 0 | 37.57 | 2.394 | 24 |
| 0 0 6 | 40.31 | 2.238 | 26 |
| 1 0 3 | 42.84 | 2.111 | 100 |
| 1 0 6 | 56.28 | 1.635 | 14 |
| 1 1 0 | 67.81 | 1.382 | 17 |
| 1 0 9 | 75.02 | 1.266 | 18 |
| 2 0 0 | 80.19 | 1.197 | 3 |
| 1 1 6 | 81.93 | 1.176 | 19 |
| 2 0 3 | 83.63 | 1.156 | 14 |
| 0 0 12 | 87.11 | 1.119 | 3 |

Cell lengths 2.764, 2.764, 13.426 Å; angles 90.00, 90.00, 120.00 degrees
Fractional positions:
Tc 0.000 0.000 0.000
Tc 0.000 0.000 0.327
Tc 0.000 0.000 0.673
Tc 0.333 0.667 0.165
Tc 0.333 0.667 0.835
Mo 0.333 0.667 0.500

This entry pairs a crystal structure of Tc2Mo with its simulated X-ray diffraction stick pattern. Radiation: Cu Kα. Structure: a PBE-relaxed structure.

Largest 10 diffraction maxima, sorted by position, 2θ = 15–90°:
| index | two_theta | d (Å) | I (rel.) |
| --- | --- | --- | --- |
| 1 3 1 | 39.81 | 2.265 | 100 |
| 0 6 0 | 45.59 | 1.990 | 17 |
| 0 0 2 | 46.50 | 1.953 | 16 |
| 2 0 0 | 46.79 | 1.942 | 16 |
| 0 6 2 | 67.16 | 1.394 | 10 |
| 2 6 0 | 67.39 | 1.390 | 10 |
| 1 9 1 | 80.34 | 1.195 | 12 |
| 1 3 3 | 81.67 | 1.179 | 12 |
| 3 3 1 | 82.09 | 1.174 | 12 |
| 2 6 2 | 85.82 | 1.132 | 10 |

Cell lengths 3.883, 11.939, 3.906 Å; angles 90.00, 90.00, 90.00 degrees
Fractional positions:
Tc 0.000 0.087 0.250
Tc 0.000 0.253 0.750
Tc 0.000 0.747 0.250
Tc 0.000 0.913 0.750
Tc 0.500 0.247 0.250
Tc 0.500 0.413 0.750
Tc 0.500 0.587 0.250
Tc 0.500 0.753 0.750
Mo 0.000 0.413 0.250
Mo 0.000 0.587 0.750
Mo 0.500 0.087 0.750
Mo 0.500 0.913 0.250

This entry pairs a crystal structure of Tc3Mo with its simulated X-ray diffraction stick pattern. Radiation: Cu Kα. Structure: a PBE-relaxed structure.

Largest 10 diffraction maxima, sorted by position, 2θ = 15–90°:
| index | two_theta | d (Å) | I (rel.) |
| --- | --- | --- | --- |
| 2 2 0 | 36.27 | 2.477 | 8 |
| 0 4 0 | 38.76 | 2.323 | 26 |
| 0 0 2 | 40.96 | 2.204 | 30 |
| 2 2 1 | 41.84 | 2.159 | 100 |
| 0 4 1 | 44.07 | 2.055 | 15 |
| 0 4 2 | 57.66 | 1.599 | 13 |
| 4 0 0 | 63.56 | 1.464 | 7 |
| 2 2 3 | 75.20 | 1.264 | 17 |
| 4 0 2 | 78.43 | 1.219 | 8 |
| 2 6 2 | 83.06 | 1.163 | 8 |

Cell lengths 5.855, 9.292, 4.407 Å; angles 90.00, 90.00, 90.00 degrees
Fractional positions:
Tc 0.000 0.163 0.250
Tc 0.000 0.837 0.750
Tc 0.236 0.100 0.750
Tc 0.236 0.900 0.250
Tc 0.264 0.400 0.250
Tc 0.264 0.600 0.750
Tc 0.500 0.337 0.750
Tc 0.500 0.663 0.250
Tc 0.736 0.400 0.250
Tc 0.736 0.600 0.750
Tc 0.764 0.100 0.750
Tc 0.764 0.900 0.250
Mo 0.000 0.365 0.750
Mo 0.000 0.635 0.250
Mo 0.500 0.135 0.250
Mo 0.500 0.865 0.750